1.
This entry pairs a crystal structure of LaY2Ho12 with its computed X-ray diffraction stick pattern. Radiation: Cu Kα (λ = 1.5418 Å). Structure: a structure optimized by DFT (PBE).
No peak broadening, texture or thermal motion is included.

Peak list (6 most intense, 15° ≤ 2θ ≤ 90°, sorted by position)
Position (°2θ)  d_spacing  I/Imax
29.84  2.994  50.0
30.84  2.899  65.5
31.92  2.804  100.0
33.03  2.712  51.6
33.36  2.686  59.9
37.18  2.418  54.5

Crystal structure
Lattice parameters (Å, degrees): 3.522 5.607 24.788 90.00 90.00 90.00
Element x y z (fractional)
La 0.000 0.000 0.000
Y 0.000 0.000 0.270
Y 0.000 0.000 0.730
Ho 0.000 0.500 0.083
Ho 0.000 0.500 0.438
Ho 0.000 0.500 0.562
Ho 0.000 0.500 0.917
Ho 0.500 0.000 0.133
Ho 0.500 0.000 0.414
Ho 0.500 0.000 0.586
Ho 0.500 0.000 0.867
Ho 0.500 0.500 0.202
Ho 0.500 0.500 0.328
Ho 0.500 0.500 0.672
Ho 0.500 0.500 0.798


2.
This entry pairs a crystal structure of La2Y7Ho4 with its computed X-ray diffraction stick pattern. Radiation: Cu Kα (λ = 1.5418 Å). Structure: a structure optimized by DFT (PBE).
No peak broadening, texture or thermal motion is included.

Peak list (6 most intense, 15° ≤ 2θ ≤ 90°, sorted by position)
Position (°2θ)  d_spacing  I/Imax
29.21  3.058  33.3
29.98  2.981  31.6
31.65  2.827  26.2
32.19  2.781  100.0
51.79  1.765  28.2
62.31  1.490  20.0

Crystal structure
Lattice parameters (Å, degrees): 6.115 6.115 13.374 90.00 90.00 120.00
Element x y z (fractional)
La 0.333 0.667 0.000
La 0.667 0.333 0.000
Y 0.000 0.000 0.000
Y 0.000 0.355 0.781
Y 0.000 0.645 0.219
Y 0.355 0.000 0.781
Y 0.355 0.355 0.219
Y 0.645 0.000 0.219
Y 0.645 0.645 0.781
Ho 0.000 0.000 0.396
Ho 0.000 0.000 0.604
Ho 0.333 0.667 0.500
Ho 0.667 0.333 0.500


3.
This entry pairs a crystal structure of La2Y3Ho8 with its computed X-ray diffraction stick pattern. Radiation: Cu Kα (λ = 1.5418 Å). Structure: a structure optimized by DFT (PBE).
No peak broadening, texture or thermal motion is included.

Peak list (6 most intense, 15° ≤ 2θ ≤ 90°, sorted by position)
Position (°2θ)  d_spacing  I/Imax
29.08  3.071  26.1
30.09  2.970  30.8
32.57  2.749  36.2
33.23  2.696  100.0
47.71  1.906  18.5
58.54  1.577  19.7

Crystal structure
Lattice parameters (Å, degrees): 11.253 11.253 5.498 90.01 90.01 39.59
Element x y z (fractional)
La 0.240 0.240 0.499
La 0.760 0.760 0.501
Y 0.000 0.000 0.500
Y 0.288 0.712 0.000
Y 0.712 0.288 0.000
Ho 0.125 0.125 0.000
Ho 0.181 0.607 0.500
Ho 0.342 0.342 0.000
Ho 0.393 0.819 0.500
Ho 0.607 0.181 0.500
Ho 0.658 0.658 0.000
Ho 0.819 0.393 0.500
Ho 0.875 0.875 0.000


4.
This entry pairs a crystal structure of LaHo3Zn4 with its computed X-ray diffraction stick pattern. Radiation: Cu Kα (λ = 1.5418 Å). Structure: a structure optimized by DFT (PBE).
No peak broadening, texture or thermal motion is included.

Peak list (6 most intense, 15° ≤ 2θ ≤ 90°, sorted by position)
Position (°2θ)  d_spacing  I/Imax
24.80  3.589  16.9
35.14  2.553  100.0
35.36  2.538  49.7
50.88  1.795  17.5
62.92  1.477  17.5
63.34  1.468  35.4

Crystal structure
Lattice parameters (Å, degrees): 5.076 5.076 7.267 90.00 90.00 90.00
Element x y z (fractional)
La 0.000 0.000 0.000
Ho 0.000 0.000 0.500
Ho 0.500 0.500 0.000
Ho 0.500 0.500 0.500
Zn 0.000 0.500 0.265
Zn 0.000 0.500 0.735
Zn 0.500 0.000 0.265
Zn 0.500 0.000 0.735


5.
This entry pairs a crystal structure of LaHo2Zn2 with its computed X-ray diffraction stick pattern. Radiation: Cu Kα (λ = 1.5418 Å). Structure: a structure optimized by DFT (PBE).
No peak broadening, texture or thermal motion is included.

Peak list (6 most intense, 15° ≤ 2θ ≤ 90°, sorted by position)
Position (°2θ)  d_spacing  I/Imax
26.16  3.407  16.9
33.52  2.674  18.7
33.93  2.642  30.4
34.30  2.615  100.0
48.43  1.879  13.2
60.95  1.520  18.7

Crystal structure
Lattice parameters (Å, degrees): 3.640 5.284 13.492 90.00 97.75 90.00
Element x y z (fractional)
La 0.145 0.250 0.287
La 0.855 0.750 0.713
Ho 0.047 0.750 0.094
Ho 0.232 0.750 0.464
Ho 0.768 0.250 0.536
Ho 0.953 0.250 0.906
Zn 0.360 0.250 0.721
Zn 0.455 0.750 0.910
Zn 0.545 0.250 0.090
Zn 0.640 0.750 0.279


6.
This entry pairs a crystal structure of LaHoZn4 with its computed X-ray diffraction stick pattern. Radiation: Cu Kα (λ = 1.5418 Å). Structure: a structure optimized by DFT (PBE).
No peak broadening, texture or thermal motion is included.

Peak list (6 most intense, 15° ≤ 2θ ≤ 90°, sorted by position)
Position (°2θ)  d_spacing  I/Imax
22.73  3.912  16.5
33.45  2.679  100.0
39.92  2.259  54.2
53.03  1.727  26.7
65.47  1.426  23.3
68.36  1.372  16.4

Crystal structure
Lattice parameters (Å, degrees): 5.823 5.823 5.823 134.30 101.69 95.68
Element x y z (fractional)
La 0.000 0.000 0.000
Ho 0.500 0.000 0.500
Zn 0.095 0.334 0.761
Zn 0.428 0.666 0.761
Zn 0.572 0.334 0.239
Zn 0.905 0.666 0.239